[1]
Simulated powder XRD pattern of Ta3Cu2C for a wavelength of 1.5418 Å, from a structure optimized by DFT (GGA-PBE).

a b c (Å): 6.970 6.970 6.970
angles (deg): 90.00 90.00 90.00
Element x y z (fractional)
Ta1 0.044 0.125 0.794
Ta2 0.125 0.794 0.044
Ta3 0.206 0.544 0.375
Ta4 0.294 0.456 0.875
Ta5 0.375 0.206 0.544
Ta6 0.456 0.875 0.294
Ta7 0.544 0.375 0.206
Ta8 0.625 0.706 0.956
Ta9 0.706 0.956 0.625
Ta10 0.794 0.044 0.125
Ta11 0.875 0.294 0.456
Ta12 0.956 0.625 0.706
Cu1 0.071 0.929 0.429
Cu2 0.179 0.179 0.179
Cu3 0.321 0.821 0.679
Cu4 0.429 0.071 0.929
Cu5 0.571 0.571 0.571
Cu6 0.679 0.321 0.821
Cu7 0.821 0.679 0.321
Cu8 0.929 0.429 0.071
C1 0.125 0.375 0.625
C2 0.375 0.625 0.125
C3 0.625 0.125 0.375
C4 0.875 0.875 0.875

Top 8 peaks for 2θ = 10–80°, by intensity:
hkl 2 2 1, 38.8°, rel. 100.0; hkl 3 1 0, 40.9°, rel. 59.7; hkl 4 3 1, 68.7°, rel. 21.3; hkl 5 2 0, 73.1°, rel. 21.0; hkl 3 1 1, 43.0°, rel. 20.1; hkl 2 1 0, 28.6°, rel. 17.0; hkl 4 2 0, 59.3°, rel. 11.6; hkl 4 1 1, 56.0°, rel. 10.9

[2]
Simulated powder XRD pattern of CaLa5Sn3 for a wavelength of 1.5418 Å, from a structure optimized by DFT (GGA-PBE).

a b c (Å): 9.808 9.808 6.919
angles (deg): 90.00 90.00 120.00
Element x y z (fractional)
Ca1 0.000 0.000 0.000
Ca2 0.000 0.000 0.500
La1 0.000 0.331 0.250
La2 0.000 0.669 0.750
La3 0.331 0.000 0.250
La4 0.331 0.331 0.750
La5 0.333 0.667 0.000
La6 0.333 0.667 0.500
La7 0.667 0.333 0.000
La8 0.667 0.333 0.500
La9 0.669 0.000 0.750
La10 0.669 0.669 0.250
Sn1 0.000 0.335 0.750
Sn2 0.000 0.665 0.250
Sn3 0.335 0.000 0.750
Sn4 0.335 0.335 0.250
Sn5 0.665 0.000 0.250
Sn6 0.665 0.665 0.750

Top 8 peaks for 2θ = 10–80°, by intensity:
hkl 3 0 0, 31.6°, rel. 100.0; hkl 3 3 0, 56.3°, rel. 28.2; hkl 3 0 4, 63.0°, rel. 18.0; hkl 2 2 2, 45.3°, rel. 16.7; hkl 3 0 2, 41.2°, rel. 9.5; hkl 5 2 2, 75.0°, rel. 7.6; hkl 6 0 0, 66.0°, rel. 6.6; hkl 0 0 2, 25.8°, rel. 5.4

[3]
Simulated powder XRD pattern of PmSi2Au5 for a wavelength of 1.5418 Å, from a structure optimized by DFT (GGA-PBE).

a b c (Å): 4.292 7.230 10.011
angles (deg): 90.00 90.00 90.00
Element x y z (fractional)
Pm1 0.000 0.000 0.000
Pm2 0.500 0.500 0.500
Si1 0.000 0.500 0.247
Si2 0.000 0.500 0.753
Si3 0.500 0.000 0.253
Si4 0.500 0.000 0.747
Au1 0.000 0.203 0.355
Au2 0.000 0.203 0.645
Au3 0.000 0.500 0.000
Au4 0.000 0.797 0.355
Au5 0.000 0.797 0.645
Au6 0.500 0.000 0.500
Au7 0.500 0.297 0.145
Au8 0.500 0.297 0.855
Au9 0.500 0.703 0.145
Au10 0.500 0.703 0.855

Top 8 peaks for 2θ = 10–80°, by intensity:
hkl 1 2 1, 33.6°, rel. 100.0; hkl 1 0 3, 34.0°, rel. 98.6; hkl 0 2 4, 44.0°, rel. 40.8; hkl 2 0 0, 42.1°, rel. 34.5; hkl 2 2 4, 62.5°, rel. 29.0; hkl 1 3 0, 43.0°, rel. 23.7; hkl 0 2 2, 30.5°, rel. 23.3; hkl 0 1 1, 15.1°, rel. 21.1